# 1
Diffraction record for Pr8SmEr5. The powder diffraction line list is simulated, not measured: it uses DFT lattice parameters and positions (GGA-PBE) and Cu Kα (λ = 1.5418 Å).
Lines closer than 0.1° are merged.

Structural model:
Cell lengths 9.715, 9.715, 10.403 Å; angles 90.00, 90.00, 90.00 degrees
Space group I-4 (No. 82)
Symmetry-distinct sites (fractional):
Pr 0.068 0.172 0.347 [8 per cell]
Pr 0.091 0.321 0.002 [8 per cell]
Sm 0.000 0.000 0.000 [2 per cell]
Er 0.000 0.500 0.250 [2 per cell]
Er 0.109 0.298 0.677 [8 per cell]

The 10 most intense peaks (10° ≤ 2θ ≤ 90°), in order of falling intensity:
| 2θ (°) | d/Å | intensity | (hkl) |
| --- | --- | --- | --- |
| 33.05 | 2.710 | 100 | 2 1 3 |
| 29.07 | 3.072 | 73 | 1 3 0 |
| 28.88 | 3.092 | 68 | 3 0 1 |
| 27.31 | 3.266 | 57 | 1 0 3 |
| 34.38 | 2.608 | 49 | 3 2 1 |
| 33.89 | 2.645 | 42 | 1 3 2 |
| 31.21 | 2.866 | 25 | 2 2 2 |
| 61.40 | 1.510 | 22 | 1 3 6 |
| 54.10 | 1.695 | 21 | 5 0 3 |
| 60.24 | 1.536 | 21 | 2 6 0 |



# 2
Diffraction record for CsIn4Au4. The powder diffraction line list is simulated, not measured: it uses DFT lattice parameters and positions (GGA-PBE) and Cu Kα (λ = 1.5418 Å).
Lines closer than 0.1° are merged.

Structural model:
Cell lengths 7.134, 7.134, 9.424 Å; angles 90.00, 90.00, 90.00 degrees
Space group P4_2/nmc (No. 137, origin choice 2)
Symmetry-distinct sites (fractional):
Cs 0.250 0.750 0.250 [2 per cell]
In 0.004 0.250 0.119 [8 per cell]
Au 0.053 0.250 0.418 [8 per cell]

The 10 most intense peaks (10° ≤ 2θ ≤ 90°), in order of falling intensity:
| 2θ (°) | d/Å | intensity | (hkl) |
| --- | --- | --- | --- |
| 29.56 | 3.022 | 100 | 2 1 1 |
| 47.98 | 1.896 | 58 | 3 0 3 |
| 40.30 | 2.238 | 58 | 2 1 3 |
| 31.11 | 2.875 | 56 | 1 0 3 |
| 35.59 | 2.522 | 55 | 2 2 0 |
| 53.20 | 1.722 | 29 | 2 2 4 |
| 51.22 | 1.784 | 25 | 4 0 0 |
| 41.14 | 2.194 | 24 | 3 1 1 |
| 78.34 | 1.221 | 22 | 5 2 3 |
| 38.19 | 2.357 | 21 | 0 0 4 |



# 3
Diffraction record for RbBa3Sn8. The powder diffraction line list is simulated, not measured: it uses DFT lattice parameters and positions (GGA-PBE) and Cu Kα (λ = 1.5418 Å).
Lines closer than 0.1° are merged.

Structural model:
Cell lengths 6.5425, 6.5425, 10.5922 Å; angles 90.00, 90.00, 120.00 degrees
Space group P3m1 (No. 156)
Symmetry-distinct sites (fractional):
Rb 0.0000 0.0000 0.0000 [1 per cell]
Ba 0.0000 0.0000 0.3635 [1 per cell]
Ba 0.6667 0.3333 0.5007 [1 per cell]
Ba 0.6667 0.3333 0.8738 [1 per cell]
Sn 0.1636 0.3271 0.6843 [3 per cell]
Sn 0.3333 0.6667 0.4408 [1 per cell]
Sn 0.3333 0.6667 0.9468 [1 per cell]
Sn 0.5065 0.0130 0.1884 [3 per cell]

The 10 most intense peaks (10° ≤ 2θ ≤ 90°), in order of falling intensity:
| 2θ (°) | d/Å | intensity | (hkl) |
| --- | --- | --- | --- |
| 32.16 | 2.783 | 100 | 1 1 2 |
| 32.72 | 2.737 | 93 | 0 2 1 |
| 29.82 | 2.997 | 72 | 0 1 3 |
| 54.05 | 1.697 | 35 | 2 0 5 |
| 56.24 | 1.636 | 33 | 2 2 0 |
| 49.80 | 1.831 | 30 | 2 1 3 |
| 27.26 | 3.271 | 28 | 1 1 0 |
| 51.36 | 1.779 | 28 | 0 3 2 |
| 35.95 | 2.498 | 23 | 2 0 2 |
| 33.85 | 2.648 | 19 | 0 0 4 |